Ho3Ga8Au3: simulated powder X-ray diffraction pattern (Cu Ka), based on a PBE-relaxed structure.
Intensities are scaled so that the largest is 100.

Structure:
a b c (Å): 4.3262 9.6639 12.7660
angles (deg): 90.00 90.00 90.00
Space group Immm (No. 71)
Inequivalent atoms, fractional coordinates:
Ho  0.0000  0.0000  0.0000 x2
Ho  0.0000  0.0000  0.3080 x4
Ga  0.0000  0.2804  0.1411 x8
Ga  0.0000  0.3719  0.3370 x8
Au  0.0000  0.2088  0.5000 x4
Au  0.0000  0.5000  0.0000 x2

Largest 10 diffraction maxima, low angle first, 2θ = 10–90°:
2θ 11.5, d 7.705, I = 12
2θ 13.9, d 6.383, I = 13
2θ 28.6, d 3.125, I = 18
2θ 34.9, d 2.569, I = 100
2θ 37.6, d 2.395, I = 23
2θ 41.8, d 2.163, I = 25
2θ 42.5, d 2.128, I = 17
2θ 45.2, d 2.008, I = 9
2θ 61.1, d 1.517, I = 13
2θ 71.8, d 1.314, I = 11